# 1
KLaGaBiO6: theoretical powder diffractogram (CuKα), based on DFT lattice parameters and positions (PBE).
No peak broadening, texture or thermal motion is included.

Principal peaks in the range 15° ≤ 2θ ≤ 90°, sorted by position:
2θ 18.84, intensity 30; 2θ 21.79, intensity 12; 2θ 31.01, intensity 100; 2θ 36.53, intensity 20; 2θ 44.42, intensity 31; 2θ 48.65, intensity 10; 2θ 55.16, intensity 40; 2θ 58.82, intensity 7; 2θ 64.63, intensity 19; 2θ 67.98, intensity 7; 2θ 73.41, intensity 18; 2θ 81.80, intensity 6

Atomic structure:
Cell: 5.7684 5.7684 5.7684 Å, 60.00 60.00 60.00°
Positions (direct):
K (0.0000, 0.0000, 0.0000)
La (0.5000, 0.5000, 0.5000)
Ga (0.7500, 0.7500, 0.7500)
Bi (0.2500, 0.2500, 0.2500)
O (0.5077, 0.5077, 0.9923)
O (0.5077, 0.9923, 0.5077)
O (0.5077, 0.9923, 0.9923)
O (0.9923, 0.5077, 0.5077)
O (0.9923, 0.5077, 0.9923)
O (0.9923, 0.9923, 0.5077)



# 2
Al17Mo4: theoretical powder diffractogram (CuKα), based on DFT lattice parameters and positions (PBE).
No peak broadening, texture or thermal motion is included.

Principal peaks in the range 15° ≤ 2θ ≤ 90°, sorted by position:
2θ 21.08, intensity 45; 2θ 22.00, intensity 53; 2θ 24.52, intensity 21; 2θ 25.33, intensity 29; 2θ 26.38, intensity 20; 2θ 36.47, intensity 72; 2θ 39.22, intensity 16; 2θ 40.75, intensity 51; 2θ 41.25, intensity 86; 2θ 41.89, intensity 100; 2θ 42.70, intensity 85; 2θ 65.54, intensity 29

Atomic structure:
Cell: 5.2159 5.2159 28.9789 Å, 95.85 95.85 56.50°
Positions (direct):
Al (0.0208, 0.3453, 0.8697)
Al (0.0354, 0.7114, 0.9459)
Al (0.0739, 0.3777, 0.7728)
Al (0.1105, 0.7672, 0.8440)
Al (0.1934, 0.8066, 0.7500)
Al (0.2142, 0.5904, 0.3945)
Al (0.2161, 0.5223, 0.5857)
Al (0.2328, 0.8895, 0.6560)
Al (0.2351, 0.5107, 0.4929)
Al (0.2886, 0.9646, 0.5541)
Al (0.2947, 0.6402, 0.2994)
Al (0.3453, 0.0208, 0.3697)
Al (0.3598, 0.7053, 0.2006)
Al (0.3777, 0.0739, 0.2728)
Al (0.4096, 0.7858, 0.1055)
Al (0.4777, 0.7839, 0.9143)
Al (0.4893, 0.7649, 0.0071)
Al (0.5107, 0.2351, 0.9929)
Al (0.5223, 0.2161, 0.0857)
Al (0.5904, 0.2142, 0.8945)
Al (0.6223, 0.9261, 0.7272)
Al (0.6402, 0.2947, 0.7994)
Al (0.6547, 0.9792, 0.6303)
Al (0.7053, 0.3598, 0.7006)
Al (0.7114, 0.0354, 0.4459)
Al (0.7649, 0.4893, 0.5071)
Al (0.7672, 0.1105, 0.3440)
Al (0.7839, 0.4777, 0.4143)
Al (0.7858, 0.4096, 0.6055)
Al (0.8066, 0.1934, 0.2500)
Al (0.8895, 0.2328, 0.1560)
Al (0.9261, 0.6223, 0.2272)
Al (0.9646, 0.2886, 0.0541)
Al (0.9792, 0.6547, 0.1303)
Mo (0.0284, 0.7484, 0.0412)
Mo (0.1417, 0.4510, 0.6797)
Mo (0.2516, 0.9716, 0.4588)
Mo (0.4510, 0.1417, 0.1797)
Mo (0.5490, 0.8583, 0.8203)
Mo (0.7484, 0.0284, 0.5412)
Mo (0.8583, 0.5490, 0.3203)
Mo (0.9716, 0.2516, 0.9588)